1.
Structure and computed XRD peak list of Zn8CdAg6 (a GGA-PBE-relaxed structure; a wavelength of 1.5418 Å).

The 10 most intense peaks (10 to 90 degrees two-theta), low angle first:
| 2θ/deg | I (rel.) |
| --- | --- |
| 36.2 | 40 |
| 36.6 | 22 |
| 39.3 | 74 |
| 40.1 | 100 |
| 40.4 | 46 |
| 41.8 | 45 |
| 42.2 | 48 |
| 43.1 | 40 |
| 64.2 | 16 |
| 65.1 | 15 |

Structural model:
Cell: 5.001 7.553 7.559 Å, 66.09 77.68 71.64°
Positions (direct):
Zn 0.021 0.030 0.166
Zn 0.099 0.292 0.500
Zn 0.176 0.566 0.838
Zn 0.403 0.236 0.165
Zn 0.597 0.764 0.835
Zn 0.824 0.434 0.162
Zn 0.901 0.708 0.500
Zn 0.979 0.970 0.834
Cd 0.500 0.500 0.500
Ag 0.217 0.630 0.160
Ag 0.296 0.898 0.514
Ag 0.379 0.158 0.835
Ag 0.621 0.842 0.165
Ag 0.704 0.102 0.486
Ag 0.783 0.370 0.840


2.
Structure and computed XRD peak list of RbCeSiO5 (a GGA-PBE-relaxed structure; a wavelength of 1.5418 Å).

The 10 most intense peaks (10 to 90 degrees two-theta), low angle first:
| 2θ/deg | I (rel.) |
| --- | --- |
| 15.8 | 56 |
| 23.8 | 100 |
| 26.2 | 68 |
| 29.8 | 80 |
| 30.2 | 46 |
| 32.6 | 25 |
| 33.5 | 21 |
| 37.8 | 22 |
| 45.0 | 22 |
| 48.5 | 22 |

Structural model:
Cell: 6.260 6.260 8.120 Å, 104.73 104.73 106.32°
Positions (direct):
Rb 0.167 0.833 0.750
Rb 0.833 0.167 0.250
Ce 0.500 0.500 0.000
Ce 0.500 0.500 0.500
Si 0.190 0.810 0.250
Si 0.810 0.190 0.750
O 0.091 0.273 0.878
O 0.217 0.646 0.379
O 0.273 0.091 0.378
O 0.354 0.783 0.121
O 0.442 0.558 0.750
O 0.558 0.442 0.250
O 0.646 0.217 0.879
O 0.727 0.909 0.622
O 0.783 0.354 0.621
O 0.909 0.727 0.122


3.
Structure and computed XRD peak list of Pu2Ga6Fe (a GGA-PBE-relaxed structure; a wavelength of 1.5418 Å).

The 10 most intense peaks (10 to 90 degrees two-theta), low angle first:
| 2θ/deg | I (rel.) |
| --- | --- |
| 23.9 | 39 |
| 30.1 | 26 |
| 33.0 | 18 |
| 34.5 | 21 |
| 34.9 | 19 |
| 37.5 | 35 |
| 38.8 | 100 |
| 49.9 | 15 |
| 58.5 | 17 |
| 62.6 | 21 |

Structural model:
Cell: 5.932 5.932 5.425 Å, 90.00 90.00 120.00°
Positions (direct):
Pu 0.333 0.667 0.312
Pu 0.667 0.333 0.688
Ga 0.172 0.345 0.805
Ga 0.172 0.828 0.805
Ga 0.345 0.172 0.195
Ga 0.655 0.828 0.805
Ga 0.828 0.172 0.195
Ga 0.828 0.655 0.195
Fe 0.000 0.000 0.500


4.
Structure and computed XRD peak list of Ga2Te3 (a GGA-PBE-relaxed structure; a wavelength of 1.5418 Å).

The 10 most intense peaks (10 to 90 degrees two-theta), low angle first:
| 2θ/deg | I (rel.) |
| --- | --- |
| 25.6 | 100 |
| 25.7 | 36 |
| 29.5 | 14 |
| 42.1 | 14 |
| 42.4 | 13 |
| 42.5 | 27 |
| 42.6 | 28 |
| 50.0 | 19 |
| 50.1 | 10 |
| 50.5 | 14 |

Structural model:
Cell: 7.414 7.414 7.321 Å, 99.23 99.23 120.53°
Positions (direct):
Ga 0.087 0.913 0.500
Ga 0.220 0.721 0.995
Ga 0.721 0.220 0.495
Ga 0.913 0.087 0.000
Te 0.124 0.597 0.607
Te 0.287 0.456 0.143
Te 0.456 0.287 0.643
Te 0.597 0.124 0.107
Te 0.754 0.908 0.612
Te 0.908 0.754 0.112


5.
Structure and computed XRD peak list of ScAgSn (a GGA-PBE-relaxed structure; a wavelength of 1.5418 Å).

The 10 most intense peaks (10 to 90 degrees two-theta), low angle first:
| 2θ/deg | I (rel.) |
| --- | --- |
| 20.4 | 33 |
| 24.8 | 37 |
| 32.3 | 55 |
| 35.5 | 100 |
| 38.2 | 39 |
| 41.6 | 35 |
| 43.6 | 32 |
| 43.7 | 75 |
| 61.8 | 23 |
| 69.2 | 29 |

Structural model:
Cell: 7.193 7.193 4.344 Å, 90.00 90.00 120.00°
Positions (direct):
Sc 0.000 0.568 0.000
Sc 0.432 0.432 0.000
Sc 0.568 0.000 0.000
Ag 0.000 0.248 0.500
Ag 0.248 0.000 0.500
Ag 0.752 0.752 0.500
Sn 0.000 0.000 0.000
Sn 0.333 0.667 0.500
Sn 0.667 0.333 0.500


6.
Structure and computed XRD peak list of Mo2RuRh4 (a GGA-PBE-relaxed structure; a wavelength of 1.5418 Å).

The 10 most intense peaks (10 to 90 degrees two-theta), low angle first:
| 2θ/deg | I (rel.) |
| --- | --- |
| 34.4 | 15 |
| 39.0 | 12 |
| 39.8 | 64 |
| 40.4 | 100 |
| 42.1 | 35 |
| 47.4 | 15 |
| 48.2 | 13 |
| 48.5 | 12 |
| 72.6 | 17 |
| 87.3 | 12 |

Structural model:
Cell: 7.525 7.551 5.211 Å, 90.00 132.60 90.00°
Positions (direct):
Mo 0.000 0.214 0.000
Mo 0.000 0.786 0.000
Mo 0.500 0.286 0.000
Mo 0.500 0.714 0.000
Ru 0.253 0.500 0.504
Ru 0.753 0.000 0.504
Rh 0.247 0.500 0.019
Rh 0.248 0.000 0.775
Rh 0.429 0.194 0.437
Rh 0.429 0.806 0.437
Rh 0.747 0.000 0.019
Rh 0.748 0.500 0.775
Rh 0.929 0.306 0.437
Rh 0.929 0.694 0.437


7.
Structure and computed XRD peak list of Dy2PaS2N2 (a GGA-PBE-relaxed structure; a wavelength of 1.5418 Å).

The 10 most intense peaks (10 to 90 degrees two-theta), low angle first:
| 2θ/deg | I (rel.) |
| --- | --- |
| 12.2 | 39 |
| 27.7 | 100 |
| 29.3 | 94 |
| 37.3 | 70 |
| 41.8 | 42 |
| 50.9 | 40 |
| 57.3 | 40 |
| 59.2 | 16 |
| 60.7 | 14 |
| 68.8 | 17 |

Structural model:
Cell: 4.317 4.317 14.521 Å, 90.00 90.00 90.00°
Positions (direct):
Dy 0.000 0.000 0.128
Dy 0.000 0.000 0.872
Dy 0.500 0.500 0.372
Dy 0.500 0.500 0.628
Pa 0.000 0.000 0.500
Pa 0.500 0.500 0.000
S 0.000 0.000 0.314
S 0.000 0.000 0.686
S 0.500 0.500 0.186
S 0.500 0.500 0.814
N 0.000 0.500 0.000
N 0.000 0.500 0.500
N 0.500 0.000 0.000
N 0.500 0.000 0.500


Please write out number 5 again, unchanged.
Structure and computed XRD peak list of ScAgSn (a GGA-PBE-relaxed structure; a wavelength of 1.5418 Å).

The 10 most intense peaks (10 to 90 degrees two-theta), low angle first:
| 2θ/deg | I (rel.) |
| --- | --- |
| 20.4 | 33 |
| 24.8 | 37 |
| 32.3 | 55 |
| 35.5 | 100 |
| 38.2 | 39 |
| 41.6 | 35 |
| 43.6 | 32 |
| 43.7 | 75 |
| 61.8 | 23 |
| 69.2 | 29 |

Structural model:
Cell: 7.193 7.193 4.344 Å, 90.00 90.00 120.00°
Positions (direct):
Sc 0.000 0.568 0.000
Sc 0.432 0.432 0.000
Sc 0.568 0.000 0.000
Ag 0.000 0.248 0.500
Ag 0.248 0.000 0.500
Ag 0.752 0.752 0.500
Sn 0.000 0.000 0.000
Sn 0.333 0.667 0.500
Sn 0.667 0.333 0.500


Repeat the third record exactly.
Structure and computed XRD peak list of Pu2Ga6Fe (a GGA-PBE-relaxed structure; a wavelength of 1.5418 Å).

The 10 most intense peaks (10 to 90 degrees two-theta), low angle first:
| 2θ/deg | I (rel.) |
| --- | --- |
| 23.9 | 39 |
| 30.1 | 26 |
| 33.0 | 18 |
| 34.5 | 21 |
| 34.9 | 19 |
| 37.5 | 35 |
| 38.8 | 100 |
| 49.9 | 15 |
| 58.5 | 17 |
| 62.6 | 21 |

Structural model:
Cell: 5.932 5.932 5.425 Å, 90.00 90.00 120.00°
Positions (direct):
Pu 0.333 0.667 0.312
Pu 0.667 0.333 0.688
Ga 0.172 0.345 0.805
Ga 0.172 0.828 0.805
Ga 0.345 0.172 0.195
Ga 0.655 0.828 0.805
Ga 0.828 0.172 0.195
Ga 0.828 0.655 0.195
Fe 0.000 0.000 0.500